Record 1
The following is a simulated powder diffractogram of MgMo2O4. It was derived from a GGA+U-relaxed structure, using a wavelength of 1.5418 Å.
Intensities are scaled so that the largest is 100.

Cell and atoms:
Cell lengths 3.1455, 10.3533, 10.3298 Å; angles 90.00, 90.00, 90.00 degrees
Atoms (fractional coordinates):
Mg 0.1062 0.1440 0.2500
Mg 0.1062 0.3560 0.7500
Mg 0.8938 0.6440 0.2500
Mg 0.8938 0.8560 0.7500
Mo 0.2857 0.6176 0.5737
Mo 0.2857 0.6176 0.9263
Mo 0.2857 0.8824 0.0737
Mo 0.2857 0.8824 0.4263
Mo 0.7143 0.1176 0.5737
Mo 0.7143 0.1176 0.9263
Mo 0.7143 0.3824 0.0737
Mo 0.7143 0.3824 0.4263
O 0.2092 0.2500 0.0000
O 0.2092 0.2500 0.5000
O 0.2148 0.5197 0.1147
O 0.2148 0.5197 0.3853
O 0.2148 0.9803 0.6147
O 0.2148 0.9803 0.8853
O 0.3690 0.7273 0.7500
O 0.3690 0.7727 0.2500
O 0.6310 0.2273 0.7500
O 0.6310 0.2727 0.2500
O 0.7852 0.0197 0.1147
O 0.7852 0.0197 0.3853
O 0.7852 0.4803 0.6147
O 0.7852 0.4803 0.8853
O 0.7908 0.7500 0.0000
O 0.7908 0.7500 0.5000

Principal peaks in the range 15 to 90 degrees two-theta, by angle:
2θ = 17.17°, I = 48.8; 2θ = 19.18°, I = 29.7; 2θ = 29.68°, I = 36.6; 2θ = 31.20°, I = 100.0; 2θ = 34.66°, I = 22.1; 2θ = 38.73°, I = 34.2; 2θ = 39.76°, I = 44.4; 2θ = 42.65°, I = 31.8; 2θ = 53.80°, I = 22.5; 2θ = 59.85°, I = 28.7



Record 2
The following is a simulated powder diffractogram of MgMoO4. It was derived from a GGA+U-relaxed structure, using a wavelength of 1.5418 Å.
Intensities are scaled so that the largest is 100.

Cell and atoms:
Cell lengths 7.0389, 7.0389, 7.1364 Å; angles 102.44, 102.44, 84.09 degrees
Atoms (fractional coordinates):
Mg 0.1798 0.8202 0.0000
Mg 0.2009 0.2009 0.3583
Mg 0.7991 0.7991 0.6417
Mg 0.8202 0.1798 0.0000
Mo 0.2506 0.7494 0.5000
Mo 0.2706 0.2706 0.9058
Mo 0.7294 0.7294 0.0942
Mo 0.7494 0.2506 0.5000
O 0.1102 0.8039 0.6960
O 0.1402 0.1402 0.0397
O 0.1961 0.8898 0.3040
O 0.2014 0.2014 0.6457
O 0.2107 0.5224 0.9727
O 0.2158 0.5016 0.3914
O 0.4776 0.7893 0.0273
O 0.4984 0.7842 0.6086
O 0.5016 0.2158 0.3914
O 0.5224 0.2107 0.9727
O 0.7842 0.4984 0.6086
O 0.7893 0.4776 0.0273
O 0.7986 0.7986 0.3543
O 0.8039 0.1102 0.6960
O 0.8598 0.8598 0.9603
O 0.8898 0.1961 0.3040

Principal peaks in the range 15 to 90 degrees two-theta, by angle:
2θ = 18.70°, I = 22.9; 2θ = 22.92°, I = 46.9; 2θ = 24.93°, I = 22.6; 2θ = 25.97°, I = 100.0; 2θ = 26.10°, I = 24.3; 2θ = 26.74°, I = 28.2; 2θ = 27.01°, I = 10.9; 2θ = 27.80°, I = 16.1; 2θ = 33.09°, I = 18.9; 2θ = 40.83°, I = 10.7



Record 3
The following is a simulated powder diffractogram of MgMo4O9. It was derived from a GGA+U-relaxed structure, using a wavelength of 1.5418 Å.
Intensities are scaled so that the largest is 100.

Cell and atoms:
Cell lengths 7.9042, 7.9042, 5.0771 Å; angles 90.00, 90.00, 90.00 degrees
Atoms (fractional coordinates):
Mg 0.2500 0.2500 0.2407
Mg 0.7500 0.7500 0.7593
Mo 0.0376 0.6395 0.2673
Mo 0.1395 0.9624 0.7327
Mo 0.3605 0.5376 0.7327
Mo 0.4624 0.8605 0.2673
Mo 0.5376 0.1395 0.7327
Mo 0.6395 0.4624 0.2673
Mo 0.8605 0.0376 0.2673
Mo 0.9624 0.3605 0.7327
O 0.0169 0.1630 0.9906
O 0.0539 0.1490 0.4953
O 0.1490 0.4461 0.4953
O 0.1630 0.4831 0.9906
O 0.2500 0.7500 0.5000
O 0.3370 0.0169 0.9906
O 0.3510 0.0539 0.4953
O 0.4461 0.3510 0.4953
O 0.4831 0.3370 0.9906
O 0.5169 0.6630 0.0094
O 0.5539 0.6490 0.5047
O 0.6490 0.9461 0.5047
O 0.6630 0.9831 0.0094
O 0.7500 0.2500 0.5000
O 0.8370 0.5169 0.0094
O 0.8510 0.5539 0.5047
O 0.9461 0.8510 0.5047
O 0.9831 0.8370 0.0094

Principal peaks in the range 15 to 90 degrees two-theta, by angle:
2θ = 20.79°, I = 9.7; 2θ = 22.50°, I = 11.0; 2θ = 30.82°, I = 100.0; 2θ = 35.36°, I = 6.6; 2θ = 35.93°, I = 14.5; 2θ = 51.30°, I = 38.5; 2θ = 51.72°, I = 17.0; 2θ = 60.67°, I = 12.4; 2θ = 61.43°, I = 22.9; 2θ = 83.72°, I = 8.9